Entry 1:
The following is a simulated X-ray diffraction stick pattern of YHgB. It was derived from a PBE-relaxed structure, using a wavelength of 1.5418 Å.

Top 8 peaks for 10° ≤ 2θ ≤ 80°, low angle first:
- d 3.544, 2θ = 25.1°, intensity 27.7
- d 3.069, 2θ = 29.1°, intensity 100.0
- d 2.170, 2θ = 41.6°, intensity 85.6
- d 1.851, 2θ = 49.2°, intensity 15.1
- d 1.772, 2θ = 51.6°, intensity 27.8
- d 1.535, 2θ = 60.3°, intensity 14.2
- d 1.373, 2θ = 68.3°, intensity 35.9
- d 1.253, 2θ = 75.9°, intensity 29.3

Cell and atoms:
```
data_YHgB
_chemical_formula_sum 'Y4 Hg4 B4'
_space_group_name_H-M_alt 'F -4 3 m'
_space_group_IT_number 216
_space_group_name_Hall 'F -4 2 3'
_cell_length_a 6.1386
_cell_length_b 6.1386
_cell_length_c 6.1386
_cell_angle_alpha 90.00
_cell_angle_beta 90.00
_cell_angle_gamma 90.00
loop_
_atom_site_label
_atom_site_type_symbol
_atom_site_fract_x
_atom_site_fract_y
_atom_site_fract_z
Y1 Y 0.0000 0.0000 0.0000
Hg1 Hg 0.0000 0.0000 0.5000
B1 B 0.2500 0.2500 0.7500
```

Entry 2:
The following is a simulated X-ray diffraction stick pattern of Al3Ni2. It was derived from a PBE-relaxed structure, using a wavelength of 1.5418 Å.

Top 8 peaks for 10° ≤ 2θ ≤ 80°, low angle first:
- d 4.913, 2θ = 18.1°, intensity 38.1
- d 3.489, 2θ = 25.5°, intensity 39.4
- d 2.845, 2θ = 31.4°, intensity 29.8
- d 2.015, 2θ = 45.0°, intensity 85.7
- d 2.009, 2θ = 45.1°, intensity 100.0
- d 1.864, 2θ = 48.9°, intensity 15.9
- d 1.483, 2θ = 62.7°, intensity 5.9
- d 1.422, 2θ = 65.6°, intensity 30.7

Cell and atoms:
```
data_Al3Ni2
_chemical_formula_sum 'Al3 Ni2'
_space_group_name_H-M_alt 'P -3 m 1'
_space_group_IT_number 164
_space_group_name_Hall '-P 3 2"'
_cell_length_a 4.0291
_cell_length_b 4.0291
_cell_length_c 4.9133
_cell_angle_alpha 90.00
_cell_angle_beta 90.00
_cell_angle_gamma 120.00
loop_
_atom_site_label
_atom_site_type_symbol
_atom_site_fract_x
_atom_site_fract_y
_atom_site_fract_z
Al1 Al 0.0000 0.0000 0.0000
Al2 Al 0.3333 0.6667 0.3527
Ni1 Ni 0.3333 0.6667 0.8532
```

Entry 3:
The following is a simulated X-ray diffraction stick pattern of AgWC9S4N3. It was derived from a PBE-relaxed structure, using a wavelength of 1.5418 Å.

Top 8 peaks for 10° ≤ 2θ ≤ 80°, low angle first:
- d 6.863, 2θ = 12.9°, intensity 100.0
- d 6.297, 2θ = 14.1°, intensity 19.9
- d 5.648, 2θ = 15.7°, intensity 21.2
- d 4.849, 2θ = 18.3°, intensity 40.7
- d 4.765, 2θ = 18.6°, intensity 28.7
- d 4.465, 2θ = 19.9°, intensity 21.6
- d 3.645, 2θ = 24.4°, intensity 15.8
- d 2.631, 2θ = 34.1°, intensity 16.0

Cell and atoms:
```
data_AgWC9S4N3
_chemical_formula_sum 'Ag2 W2 C18 S8 N6'
_space_group_name_H-M_alt 'P 1 21 1'
_space_group_IT_number 4
_cell_length_a 6.4847
_cell_length_b 7.2896
_cell_length_c 20.4229
_cell_angle_alpha 90.00
_cell_angle_beta 94.15
_cell_angle_gamma 90.00
loop_
_space_group_symop_operation_xyz
'x,y,z'
'-x,y+1/2,-z'
loop_
_atom_site_label
_atom_site_type_symbol
_atom_site_fract_x
_atom_site_fract_y
_atom_site_fract_z
Ag1 Ag 0.0063 0.0000 0.1860
W1 W 0.2611 0.0010 0.3095
C1 C 0.1557 0.4974 0.9047
C2 C 0.2808 0.8523 0.5740
C3 C 0.3245 0.1777 0.6244
C4 C 0.3405 0.3194 0.6582
C5 C 0.3774 0.9521 0.9528
C6 C 0.4437 0.6772 0.1279
C7 C 0.4724 0.9964 0.8466
C8 C 0.4839 0.9179 0.5605
C9 C 0.4922 0.8742 0.9007
S1 S 0.1231 0.7510 0.2635
S2 S 0.1501 0.2525 0.2592
S3 S 0.1870 0.0145 0.4100
S4 S 0.3715 0.5090 0.7009
N1 N 0.2392 0.4853 0.9575
N2 N 0.3474 0.0245 0.5942
N3 N 0.4630 0.0997 0.9219
```

Entry 4:
The following is a simulated X-ray diffraction stick pattern of NdO2. It was derived from a PBE-relaxed structure, using a wavelength of 1.5418 Å.

Top 8 peaks for 10° ≤ 2θ ≤ 80°, low angle first:
- d 3.550, 2θ = 25.1°, intensity 100.0
- d 3.190, 2θ = 28.0°, intensity 83.1
- d 2.927, 2θ = 30.5°, intensity 22.7
- d 2.916, 2θ = 30.7°, intensity 18.6
- d 2.876, 2θ = 31.1°, intensity 25.1
- d 2.515, 2θ = 35.7°, intensity 22.4
- d 2.066, 2θ = 43.8°, intensity 26.7
- d 2.051, 2θ = 44.1°, intensity 24.2

Cell and atoms:
```
data_NdO2
_chemical_formula_sum 'Nd4 O8'
_space_group_name_H-M_alt 'P 1 21/c 1'
_space_group_IT_number 14
_cell_length_a 5.9067
_cell_length_b 5.8538
_cell_length_c 5.8261
_cell_angle_alpha 90.00
_cell_angle_beta 99.14
_cell_angle_gamma 90.00
loop_
_space_group_symop_operation_xyz
'x,y,z'
'-x,-y,-z'
'-x,y+1/2,-z+1/2'
'x,-y+1/2,z+1/2'
loop_
_atom_site_label
_atom_site_type_symbol
_atom_site_fract_x
_atom_site_fract_y
_atom_site_fract_z
Nd1 Nd 0.2118 0.0266 0.2868
O1 O 0.0306 0.7467 0.5098
O2 O 0.4286 0.1625 0.6607
```